# 1
Starting from a structure optimized by DFT (PBE), the powder XRD pattern of As3Au5 was simulated for a wavelength of 1.5418 Å.
Kinematic intensities with the Lorentz-polarization factor, no thermal factor.

Top 10 peaks for 2θ from 10° to 80°, low angle first:
two_theta	d/Å	Rel. int.
22.6	3.940	19.8
30.1	2.965	38.9
34.6	2.593	100.0
38.0	2.369	42.7
40.1	2.247	27.5
40.9	2.205	21.7
46.1	1.969	26.0
46.5	1.952	36.3
62.7	1.482	27.0
73.6	1.287	19.3

Cell and atoms:
a b c (Å): 8.4188 8.4188 6.8894
angles (deg): 90.02 90.02 138.76
Atoms (fractional coordinates):
As1 0.0424 0.5343 0.4998
As2 0.2091 0.2091 0.9998
As3 0.4657 0.9576 0.5002
As4 0.5013 0.0786 0.0000
As5 0.7909 0.7909 0.0002
As6 0.9214 0.4987 0.0000
Au1 0.1112 0.3882 0.7833
Au2 0.1118 0.3886 0.2164
Au3 0.3545 0.1471 0.2946
Au4 0.3545 0.1469 0.7053
Au5 0.4665 0.5335 0.5000
Au6 0.6115 0.8882 0.7836
Au7 0.6118 0.8888 0.2167
Au8 0.8531 0.6455 0.2947
Au9 0.8529 0.6455 0.7054
Au10 0.9686 0.0314 0.5000

=====

# 2
Starting from a structure optimized by DFT (PBE), the powder XRD pattern of As3Au4 was simulated for a wavelength of 1.5418 Å.
Kinematic intensities with the Lorentz-polarization factor, no thermal factor.

Top 10 peaks for 2θ from 10° to 80°, low angle first:
two_theta	d/Å	Rel. int.
17.5	5.054	11.7
27.9	3.199	19.9
34.9	2.570	74.9
39.3	2.291	7.0
39.9	2.261	100.0
50.2	1.817	27.0
58.4	1.580	5.4
66.0	1.416	45.8
73.7	1.285	8.7
75.5	1.259	13.8

Cell and atoms:
a b c (Å): 10.4293 10.4293 10.4293
angles (deg): 159.93 159.93 28.53
Atoms (fractional coordinates):
As1 0.0000 0.0000 0.0000
As2 0.2757 0.2757 0.0000
As3 0.7243 0.7243 0.0000
Au1 0.1385 0.1385 0.0000
Au2 0.4289 0.4289 0.0000
Au3 0.5711 0.5711 0.0000
Au4 0.8615 0.8615 0.0000

=====

# 3
Starting from a structure optimized by DFT (PBE), the powder XRD pattern of LiCo2BAsAu was simulated for a wavelength of 1.5418 Å.
Kinematic intensities with the Lorentz-polarization factor, no thermal factor.

Top 10 peaks for 2θ from 10° to 80°, low angle first:
two_theta	d/Å	Rel. int.
23.7	3.751	100.0
25.8	3.458	93.0
26.6	3.354	48.2
29.1	3.069	58.1
35.3	2.543	50.1
37.4	2.408	96.8
39.2	2.296	87.1
48.0	1.896	74.8
48.5	1.877	36.5
55.7	1.649	47.9

Cell and atoms:
a b c (Å): 3.7698 3.4585 6.1708
angles (deg): 90.00 95.74 90.00
Atoms (fractional coordinates):
Li1 0.0000 0.0000 0.0000
Co1 0.0872 0.5000 0.4003
Co2 0.6035 0.0000 0.4368
B1 0.1254 0.0000 0.5557
As1 0.5515 0.5000 0.1868
Au1 0.4314 0.5000 0.7795

=====

# 4
Starting from a structure optimized by DFT (PBE), the powder XRD pattern of LiCo2BAsAu was simulated for a wavelength of 1.5418 Å.
Kinematic intensities with the Lorentz-polarization factor, no thermal factor.

Top 10 peaks for 2θ from 10° to 80°, low angle first:
two_theta	d/Å	Rel. int.
14.8	5.999	21.4
24.6	3.617	100.0
28.8	3.097	35.7
38.3	2.352	56.5
39.0	2.309	59.1
46.7	1.946	58.7
50.5	1.808	35.6
52.3	1.750	18.3
56.9	1.617	20.8
65.6	1.424	25.8

Cell and atoms:
a b c (Å): 3.6166 3.6166 5.9986
angles (deg): 90.00 90.00 90.00
Atoms (fractional coordinates):
Li1 0.0000 0.0000 0.0000
Co1 0.0000 0.5000 0.4157
Co2 0.5000 0.0000 0.4157
B1 0.0000 0.0000 0.5511
As1 0.5000 0.5000 0.1744
Au1 0.5000 0.5000 0.7568

=====

# 5
Starting from a structure optimized by DFT (PBE), the powder XRD pattern of LiCo2BAsAu was simulated for a wavelength of 1.5418 Å.
Kinematic intensities with the Lorentz-polarization factor, no thermal factor.

Top 10 peaks for 2θ from 10° to 80°, low angle first:
two_theta	d/Å	Rel. int.
26.2	3.397	91.9
27.3	3.264	42.3
27.9	3.199	67.6
36.0	2.493	33.2
36.8	2.439	41.6
41.2	2.194	100.0
43.1	2.097	22.3
49.7	1.835	21.8
50.1	1.821	25.3
57.0	1.615	21.7

Cell and atoms:
a b c (Å): 3.5180 3.6704 6.7634
angles (deg): 90.00 105.15 90.00
Atoms (fractional coordinates):
Li1 0.0000 0.0000 0.0000
Co1 0.3471 0.0000 0.6953
Co2 0.8426 0.5000 0.6863
B1 0.4131 0.5000 0.8264
As1 0.7349 0.0000 0.4720
Au1 0.5801 0.5000 0.1592

=====

# 6
Starting from a structure optimized by DFT (PBE), the powder XRD pattern of BaAs3Au3 was simulated for a wavelength of 1.5418 Å.
Kinematic intensities with the Lorentz-polarization factor, no thermal factor.

Top 10 peaks for 2θ from 10° to 80°, low angle first:
two_theta	d/Å	Rel. int.
17.4	5.097	23.1
24.7	3.604	42.0
27.7	3.223	43.4
30.4	2.943	100.0
43.5	2.081	36.9
47.2	1.926	59.3
50.7	1.802	33.5
57.2	1.612	16.8
71.7	1.316	17.2
74.5	1.274	21.6

Cell and atoms:
a b c (Å): 7.2079 7.2079 7.2079
angles (deg): 90.00 90.00 90.00
Atoms (fractional coordinates):
Ba1 0.0000 0.0000 0.0000
Ba2 0.5000 0.5000 0.5000
As1 0.0000 0.2500 0.5000
As2 0.0000 0.7500 0.5000
As3 0.2500 0.5000 0.0000
As4 0.5000 0.0000 0.2500
As5 0.5000 0.0000 0.7500
As6 0.7500 0.5000 0.0000
Au1 0.0000 0.5000 0.2500
Au2 0.0000 0.5000 0.7500
Au3 0.2500 0.0000 0.5000
Au4 0.5000 0.2500 0.0000
Au5 0.5000 0.7500 0.0000
Au6 0.7500 0.0000 0.5000

=====

# 7
Starting from a structure optimized by DFT (PBE), the powder XRD pattern of Ba8AsAu2 was simulated for a wavelength of 1.5418 Å.
Kinematic intensities with the Lorentz-polarization factor, no thermal factor.

Top 10 peaks for 2θ from 10° to 80°, low angle first:
two_theta	d/Å	Rel. int.
16.2	5.487	56.0
17.3	5.126	61.6
20.0	4.439	76.1
23.8	3.746	79.7
25.5	3.489	63.2
29.5	3.024	50.9
32.6	2.743	69.2
35.0	2.563	100.0
37.2	2.419	31.4
43.8	2.066	81.3

Cell and atoms:
a b c (Å): 6.9787 10.2426 10.2548
angles (deg): 60.07 89.99 90.00
Atoms (fractional coordinates):
Ba1 0.2311 0.3332 0.3337
Ba2 0.2551 0.3080 0.8450
Ba3 0.2552 0.8443 0.8475
Ba4 0.2553 0.8475 0.3079
Ba5 0.7447 0.1525 0.6921
Ba6 0.7448 0.1557 0.1525
Ba7 0.7449 0.6920 0.1550
Ba8 0.7689 0.6668 0.6663
As1 0.5000 0.0000 0.0000
Au1 0.2755 0.6668 0.6662
Au2 0.7245 0.3332 0.3338

=====

# 8
Starting from a structure optimized by DFT (PBE), the powder XRD pattern of Ba2AsAu7 was simulated for a wavelength of 1.5418 Å.
Kinematic intensities with the Lorentz-polarization factor, no thermal factor.

Top 10 peaks for 2θ from 10° to 80°, low angle first:
two_theta	d/Å	Rel. int.
17.0	5.226	21.8
19.9	4.461	23.9
30.8	2.901	74.6
31.4	2.846	70.9
36.4	2.466	100.0
43.3	2.091	54.0
48.9	1.864	41.9
52.5	1.744	33.7
62.1	1.495	21.0
70.3	1.339	26.8

Cell and atoms:
a b c (Å): 4.9326 4.9326 10.4520
angles (deg): 90.00 90.00 90.00
Atoms (fractional coordinates):
Ba1 0.0000 0.5000 0.2429
Ba2 0.5000 0.0000 0.7571
As1 0.0000 0.0000 0.5000
Au1 0.0000 0.0000 0.0000
Au2 0.0000 0.5000 0.6058
Au3 0.0000 0.5000 0.8683
Au4 0.5000 0.0000 0.1317
Au5 0.5000 0.0000 0.3942
Au6 0.5000 0.5000 0.0000
Au7 0.5000 0.5000 0.5000

=====

# 9
Starting from a structure optimized by DFT (PBE), the powder XRD pattern of BaAs2Au4 was simulated for a wavelength of 1.5418 Å.
Kinematic intensities with the Lorentz-polarization factor, no thermal factor.

Top 10 peaks for 2θ from 10° to 80°, low angle first:
two_theta	d/Å	Rel. int.
19.3	4.601	89.5
28.7	3.112	93.6
30.5	2.933	73.4
30.8	2.900	86.0
32.1	2.787	52.8
33.2	2.701	84.1
41.1	2.194	100.0
46.1	1.967	51.5
50.0	1.825	55.9
55.5	1.656	56.6

Cell and atoms:
a b c (Å): 5.7127 5.7127 6.4544
angles (deg): 111.71 111.71 73.44
Atoms (fractional coordinates):
Ba1 0.0000 0.0000 0.0000
As1 0.4250 0.4250 0.2160
As2 0.5750 0.5750 0.7840
Au1 0.2064 0.7936 0.5000
Au2 0.2910 0.2910 0.7423
Au3 0.7090 0.7090 0.2577
Au4 0.7936 0.2064 0.5000

=====

# 10
Starting from a structure optimized by DFT (PBE), the powder XRD pattern of BaAs3Au4 was simulated for a wavelength of 1.5418 Å.
Kinematic intensities with the Lorentz-polarization factor, no thermal factor.

Top 10 peaks for 2θ from 10° to 80°, low angle first:
two_theta	d/Å	Rel. int.
10.8	8.178	24.1
26.7	3.340	31.7
28.9	3.092	87.6
34.7	2.587	78.0
38.1	2.362	100.0
42.8	2.112	76.7
51.2	1.785	27.5
55.0	1.670	36.7
63.3	1.469	40.4
72.1	1.310	33.4

Cell and atoms:
a b c (Å): 4.7235 4.7235 8.1782
angles (deg): 90.00 90.00 90.00
Atoms (fractional coordinates):
Ba1 0.0000 0.0000 0.0000
As1 0.0000 0.0000 0.5000
As2 0.5000 0.5000 0.1569
As3 0.5000 0.5000 0.8431
Au1 0.0000 0.5000 0.3198
Au2 0.0000 0.5000 0.6802
Au3 0.5000 0.0000 0.3198
Au4 0.5000 0.0000 0.6802

=====

# 11
Starting from a structure optimized by DFT (PBE), the powder XRD pattern of Ba6AsAu5 was simulated for a wavelength of 1.5418 Å.
Kinematic intensities with the Lorentz-polarization factor, no thermal factor.

Top 10 peaks for 2θ from 10° to 80°, low angle first:
two_theta	d/Å	Rel. int.
31.2	2.869	20.1
31.4	2.853	100.0
44.8	2.022	14.8
45.0	2.014	7.4
55.6	1.653	15.4
55.8	1.647	23.4
55.9	1.645	7.8
65.4	1.427	12.1
74.2	1.278	6.6
74.4	1.274	6.7

Cell and atoms:
a b c (Å): 9.9202 9.9202 9.9202
angles (deg): 146.60 132.08 59.66
Atoms (fractional coordinates):
Ba1 0.0829 0.3362 0.7467
Ba2 0.2415 0.0000 0.2415
Ba3 0.4106 0.6638 0.7467
Ba4 0.5894 0.3362 0.2533
Ba5 0.7585 0.0000 0.7585
Ba6 0.9171 0.6638 0.2533
As1 0.0000 0.5000 0.5000
Au1 0.1731 0.1731 0.0000
Au2 0.3324 0.8324 0.5000
Au3 0.5000 0.5000 0.0000
Au4 0.6676 0.1676 0.5000
Au5 0.8269 0.8269 0.0000

=====

# 12
Starting from a structure optimized by DFT (PBE), the powder XRD pattern of Ba3As2Au3 was simulated for a wavelength of 1.5418 Å.
Kinematic intensities with the Lorentz-polarization factor, no thermal factor.

Top 10 peaks for 2θ from 10° to 80°, low angle first:
two_theta	d/Å	Rel. int.
25.7	3.463	51.4
29.1	3.072	100.0
29.8	3.002	34.3
30.3	2.951	57.0
31.1	2.880	38.3
35.8	2.509	45.3
38.8	2.319	30.3
39.0	2.309	52.2
39.5	2.282	44.7
56.2	1.636	36.7

Cell and atoms:
a b c (Å): 6.5456 6.5456 17.7069
angles (deg): 90.00 90.00 139.20
Atoms (fractional coordinates):
Ba1 0.1028 0.8972 0.7500
Ba2 0.3664 0.6336 0.5871
Ba3 0.3664 0.6336 0.9129
Ba4 0.6336 0.3664 0.0871
Ba5 0.6336 0.3664 0.4129
Ba6 0.8972 0.1028 0.2500
As1 0.3485 0.6515 0.1094
As2 0.3485 0.6515 0.3906
As3 0.6515 0.3485 0.6094
As4 0.6515 0.3485 0.8906
Au1 0.0810 0.9190 0.5579
Au2 0.0810 0.9190 0.9421
Au3 0.1740 0.8260 0.2500
Au4 0.8260 0.1740 0.7500
Au5 0.9190 0.0810 0.0579
Au6 0.9190 0.0810 0.4421